[1]
Starting from a GGA-PBE-relaxed structure, the X-ray diffraction stick pattern of LiLa2MgTc was calculated for Cu Kα (weighted mean of Kα1 and Kα2).
Kinematic intensities with the Lorentz-polarization factor, no thermal factor.

Most intense lines, 2θ from 5° to 70°, in order of falling intensity:
2θ (°)  d (Å)  Rel. int.
16.37  5.416  100
37.37  2.407  57
33.35  2.687  49
28.70  3.111  36
47.68  1.907  35
16.50  5.374  26
33.08  2.708  25
23.37  3.806  24
50.94  1.793  22
59.43  1.555  18

Crystal structure
```
LiLa2MgTc
1.0
5.374 0.000 0.000
0.000 5.374 0.000
0.000 0.000 5.416
Li La Mg Tc
1 2 1 1
direct
0.000 0.000 0.000 Li
0.000 0.500 0.500 La
0.500 0.000 0.500 La
0.500 0.500 0.000 Mg
0.500 0.500 0.500 Tc
```

---

[2]
Starting from a GGA-PBE-relaxed structure, the X-ray diffraction stick pattern of Li2La2TmMg5 was calculated for Cu Kα (weighted mean of Kα1 and Kα2).
Kinematic intensities with the Lorentz-polarization factor, no thermal factor.

Most intense lines, 2θ from 5° to 70°, in order of falling intensity:
2θ (°)  d (Å)  Rel. int.
32.91  2.722  100
27.05  3.296  65
30.69  2.913  59
18.39  4.825  46
26.12  3.412  43
19.67  4.513  42
34.27  2.617  40
53.53  1.712  33
23.32  3.815  32
11.60  7.629  31

Crystal structure
```
Li2La2TmMg5
1.0
10.789 0.000 0.000
0.000 10.789 0.000
0.000 0.000 4.513
Li La Tm Mg
4 4 2 10
direct
0.113 0.387 0.000 Li
0.387 0.887 0.000 Li
0.613 0.113 0.000 Li
0.887 0.613 0.000 Li
0.182 0.682 0.000 La
0.318 0.182 0.000 La
0.682 0.818 0.000 La
0.818 0.318 0.000 La
0.000 0.000 0.000 Tm
0.500 0.500 0.000 Tm
0.000 0.500 0.500 Mg
0.059 0.213 0.500 Mg
0.213 0.941 0.500 Mg
0.287 0.441 0.500 Mg
0.441 0.713 0.500 Mg
0.500 0.000 0.500 Mg
0.559 0.287 0.500 Mg
0.713 0.559 0.500 Mg
0.787 0.059 0.500 Mg
0.941 0.787 0.500 Mg
```

---

[3]
Starting from a GGA-PBE-relaxed structure, the X-ray diffraction stick pattern of LiLaTmMg was calculated for Cu Kα (weighted mean of Kα1 and Kα2).
Kinematic intensities with the Lorentz-polarization factor, no thermal factor.

Most intense lines, 2θ from 5° to 70°, in order of falling intensity:
2θ (°)  d (Å)  Rel. int.
33.04  2.711  100
23.20  3.834  81
59.02  1.565  38
53.44  1.715  34
40.77  2.213  25
47.43  1.917  18
69.33  1.355  12
20.06  4.427  3
38.96  2.312  2
51.98  1.759  1

Crystal structure
```
LiLaTmMg
1.0
0.000 3.834 3.834
3.834 0.000 3.834
3.834 3.834 0.000
Li La Tm Mg
1 1 1 1
direct
0.000 0.000 0.000 Li
0.750 0.750 0.750 La
0.250 0.250 0.250 Tm
0.500 0.500 0.500 Mg
```